The following is a calculated powder XRD pattern of La5S4NO2. It was derived from DFT lattice parameters and positions (GGA-PBE), using Cu Kα, 1.54184 Å.
No peak broadening, texture or thermal motion is included.

Atomic structure:
a = 15.741 Å, b = 4.097 Å, c = 16.835 Å
α = 90.00°, β = 101.09°, γ = 90.00°
Space group C2/m (No. 12)
Symmetry-distinct sites (fractional):
La1 0.018 0.000 0.168 (multiplicity 4)
La2 0.079 0.000 0.593 (multiplicity 4)
La3 0.124 0.500 0.024 (multiplicity 4)
La4 0.141 0.500 0.414 (multiplicity 4)
La5 0.232 0.500 0.794 (multiplicity 4)
S1 0.046 0.500 0.716 (multiplicity 4)
S2 0.160 0.500 0.244 (multiplicity 4)
S3 0.177 0.000 0.901 (multiplicity 4)
S4 0.213 0.500 0.593 (multiplicity 4)
N1 0.073 0.000 0.450 (multiplicity 4)
O1 0.002 0.500 0.914 (multiplicity 4)
O2 0.139 0.000 0.096 (multiplicity 4)

Main lines, in order of rising 2θ (5° ≤ 2θ ≤ 70°):
- 2θ = 25.47°, I = 47
- 2θ = 27.05°, I = 100
- 2θ = 27.31°, I = 51
- 2θ = 27.83°, I = 35
- 2θ = 30.51°, I = 31
- 2θ = 35.98°, I = 34
- 2θ = 41.53°, I = 29
- 2θ = 44.21°, I = 26
- 2θ = 52.55°, I = 18
- 2θ = 52.75°, I = 16